Calculated PXRD pattern of Sr3Li7Tl4 for Cu Kα, from the PBE geometry in Alexandria.
Kinematic intensities with the Lorentz-polarization factor, no thermal factor.

The 10 most intense peaks (2θ = 5–70°), low angle first:
Position (°2θ), I (rel.)
12.35, 27
20.86, 50
23.23, 66
23.65, 100
25.53, 27
31.09, 40
31.50, 30
31.75, 98
34.65, 27
36.15, 81

Structure:
Lattice parameters (Å, degrees): 8.9811 8.9811 10.2619 122.39 122.39 32.14
Element x y z (fractional)
Sr1 0.0000 0.0000 0.0000
Sr2 0.3007 0.3007 0.3080
Sr3 0.6993 0.6993 0.6920
Li1 0.0000 0.0000 0.5000
Li2 0.1207 0.1207 0.8336
Li3 0.3192 0.3192 0.6704
Li4 0.4971 0.4971 0.7124
Li5 0.5029 0.5029 0.2876
Li6 0.6808 0.6808 0.3296
Li7 0.8793 0.8793 0.1664
Tl1 0.1168 0.1168 0.3957
Tl2 0.3223 0.3223 0.9811
Tl3 0.6777 0.6777 0.0189
Tl4 0.8832 0.8832 0.6043



Calculated PXRD pattern of Sr6LiTl2 for Cu Kα, from the PBE geometry in Alexandria.
Kinematic intensities with the Lorentz-polarization factor, no thermal factor.

The 10 most intense peaks (2θ = 5–70°), low angle first:
Position (°2θ), I (rel.)
16.01, 30
18.93, 25
28.60, 100
29.09, 25
29.74, 58
30.53, 35
34.37, 19
53.08, 18
54.74, 18
59.84, 18

Structure:
Lattice parameters (Å, degrees): 11.0688 11.0688 5.8559 90.00 90.00 90.00
Element x y z (fractional)
Sr1 0.0291 0.3061 0.0000
Sr2 0.1199 0.8801 0.5000
Sr3 0.1939 0.5291 0.5000
Sr4 0.3061 0.0291 0.0000
Sr5 0.3801 0.3801 0.0000
Sr6 0.4709 0.8061 0.5000
Sr7 0.5291 0.1939 0.5000
Sr8 0.6199 0.6199 0.0000
Sr9 0.6939 0.9709 0.0000
Sr10 0.8061 0.4709 0.5000
Sr11 0.8801 0.1199 0.5000
Sr12 0.9709 0.6939 0.0000
Li1 0.0000 0.0000 0.0000
Li2 0.5000 0.5000 0.5000
Tl1 0.2039 0.2039 0.5000
Tl2 0.2961 0.7039 0.0000
Tl3 0.7039 0.2961 0.0000
Tl4 0.7961 0.7961 0.5000



Calculated PXRD pattern of Sr2Li6Tl3 for Cu Kα, from the PBE geometry in Alexandria.
Kinematic intensities with the Lorentz-polarization factor, no thermal factor.

The 10 most intense peaks (2θ = 5–70°), low angle first:
Position (°2θ), I (rel.)
11.32, 42
19.67, 66
29.11, 100
30.24, 19
31.32, 32
34.41, 25
37.25, 21
41.65, 29
47.21, 26
61.61, 20

Structure:
Lattice parameters (Å, degrees): 9.0286 9.0286 4.1823 90.00 90.00 120.00
Element x y z (fractional)
Sr1 0.3333 0.6667 0.0000
Sr2 0.6667 0.3333 0.0000
Li1 0.0000 0.2835 0.5000
Li2 0.0000 0.8121 0.0000
Li3 0.1879 0.1879 0.0000
Li4 0.2835 0.0000 0.5000
Li5 0.7165 0.7165 0.5000
Li6 0.8121 0.0000 0.0000
Tl1 0.0000 0.6055 0.5000
Tl2 0.3945 0.3945 0.5000
Tl3 0.6055 0.0000 0.5000



Calculated PXRD pattern of Sr4Li3Tl for Cu Kα, from the PBE geometry in Alexandria.
Kinematic intensities with the Lorentz-polarization factor, no thermal factor.

The 10 most intense peaks (2θ = 5–70°), low angle first:
Position (°2θ), I (rel.)
6.89, 100
18.15, 24
21.79, 19
27.16, 78
29.02, 36
32.66, 23
33.70, 30
33.92, 21
40.70, 16
45.23, 22

Structure:
Lattice parameters (Å, degrees): 4.4319 5.2855 12.8272 90.00 90.00 90.00
Element x y z (fractional)
Sr1 0.0000 0.0000 0.0000
Sr2 0.0000 0.5000 0.2805
Sr3 0.5000 0.0000 0.4813
Sr4 0.5000 0.5000 0.7893
Li1 0.0000 0.0000 0.7041
Li2 0.0000 0.5000 0.5729
Li3 0.5000 0.5000 0.0811
Tl1 0.5000 0.0000 0.2061



Calculated PXRD pattern of SrLi9Tl3 for Cu Kα, from the PBE geometry in Alexandria.
Kinematic intensities with the Lorentz-polarization factor, no thermal factor.

The 10 most intense peaks (2θ = 5–70°), low angle first:
Position (°2θ), I (rel.)
12.68, 32
16.96, 35
18.08, 100
25.53, 38
25.82, 38
34.31, 40
34.77, 39
36.63, 35
40.94, 18
51.56, 24

Structure:
Lattice parameters (Å, degrees): 7.5487 7.5487 7.5641 99.00 99.00 132.15
Element x y z (fractional)
Sr1 0.0000 0.0000 0.0000
Li1 0.0277 0.6728 0.6529
Li2 0.2689 0.4934 0.7765
Li3 0.3272 0.9723 0.3471
Li4 0.4934 0.2689 0.7765
Li5 0.5000 0.5000 0.5000
Li6 0.5066 0.7311 0.2235
Li7 0.6728 0.0277 0.6529
Li8 0.7311 0.5066 0.2235
Li9 0.9723 0.3272 0.3471
Tl1 0.0000 0.0000 0.5000
Tl2 0.0000 0.5000 0.0000
Tl3 0.5000 0.0000 0.0000



Calculated PXRD pattern of Sr6Li5Tl for Cu Kα, from the PBE geometry in Alexandria.
Kinematic intensities with the Lorentz-polarization factor, no thermal factor.

The 10 most intense peaks (2θ = 5–70°), low angle first:
Position (°2θ), I (rel.)
9.94, 32
10.61, 30
14.56, 25
19.07, 26
21.29, 26
30.19, 100
30.27, 100
43.36, 24
53.68, 39
53.80, 26

Structure:
Lattice parameters (Å, degrees): 5.9121 8.3385 9.3632 90.00 108.13 90.00
Element x y z (fractional)
Sr1 0.0000 0.2410 0.0000
Sr2 0.0000 0.7590 0.0000
Sr3 0.3382 0.2443 0.6741
Sr4 0.3382 0.7557 0.6741
Sr5 0.6618 0.2443 0.3259
Sr6 0.6618 0.7557 0.3259
Li1 0.1653 0.0000 0.3350
Li2 0.1660 0.5000 0.3359
Li3 0.5000 0.5000 0.0000
Li4 0.8340 0.5000 0.6641
Li5 0.8347 0.0000 0.6650
Tl1 0.5000 0.0000 0.0000